[1]
This entry pairs a crystal structure of PrBPt3 with its computed X-ray powder pattern. Radiation: Cu Ka. Structure: a GGA-PBE-relaxed structure.

Structure:
```
data_PrBPt3
_symmetry_space_group_name_H-M 'P 1'
_symmetry_Int_Tables_number 1
_cell_length_a 4.0642
_cell_length_b 4.0642
_cell_length_c 5.1106
_cell_angle_alpha 90.00
_cell_angle_beta 90.00
_cell_angle_gamma 90.00
loop_
_symmetry_equiv_pos_as_xyz
'x,y,z'
loop_
_atom_site_label
_atom_site_type_symbol
_atom_site_fract_x
_atom_site_fract_y
_atom_site_fract_z
Pr1 Pr 0.0000 0.0000 0.0000
B1 B 0.5000 0.5000 0.7002
Pt1 Pt 0.0000 0.5000 0.5160
Pt2 Pt 0.5000 0.0000 0.5160
Pt3 Pt 0.5000 0.5000 0.1132
```

Principal peaks in the range 2θ = 15–90°, sorted by position:
two_theta, d (Å), intensity
35.12, 2.555, 21
35.85, 2.505, 100
44.59, 2.032, 31
57.99, 1.590, 20
63.48, 1.465, 10
76.42, 1.246, 23


[2]
This entry pairs a crystal structure of Gd3BiRu4O14 with its computed X-ray powder pattern. Radiation: Cu Ka. Structure: a GGA-PBE-relaxed structure.

Structure:
```
data_Gd3BiRu4O14
_symmetry_space_group_name_H-M 'P 1'
_symmetry_Int_Tables_number 1
_cell_length_a 7.3150
_cell_length_b 7.3150
_cell_length_c 7.3150
_cell_angle_alpha 59.82
_cell_angle_beta 59.82
_cell_angle_gamma 59.82
loop_
_symmetry_equiv_pos_as_xyz
'x,y,z'
loop_
_atom_site_label
_atom_site_type_symbol
_atom_site_fract_x
_atom_site_fract_y
_atom_site_fract_z
Gd1 Gd 0.0000 0.5000 0.5000
Gd2 Gd 0.5000 0.0000 0.5000
Gd3 Gd 0.5000 0.5000 0.0000
Bi1 Bi 0.5000 0.5000 0.5000
Ru1 Ru 0.0000 0.0000 0.0000
Ru2 Ru 0.0000 0.0000 0.5000
Ru3 Ru 0.0000 0.5000 0.0000
Ru4 Ru 0.5000 0.0000 0.0000
O1 O 0.0802 0.6700 0.6700
O2 O 0.0812 0.0812 0.6688
O3 O 0.0812 0.6688 0.0812
O4 O 0.3300 0.3300 0.9198
O5 O 0.3300 0.9198 0.3300
O6 O 0.3312 0.9188 0.9188
O7 O 0.3733 0.3733 0.3733
O8 O 0.6267 0.6267 0.6267
O9 O 0.6688 0.0812 0.0812
O10 O 0.6700 0.0802 0.6700
O11 O 0.6700 0.6700 0.0802
O12 O 0.9188 0.3312 0.9188
O13 O 0.9188 0.9188 0.3312
O14 O 0.9198 0.3300 0.3300
```

Principal peaks in the range 2θ = 15–90°, sorted by position:
two_theta, d (Å), intensity
29.88, 2.990, 34
29.99, 2.980, 100
34.73, 2.583, 45
49.87, 1.829, 31
50.01, 1.824, 31
59.37, 1.557, 43


[3]
This entry pairs a crystal structure of SiO2 with its computed X-ray powder pattern. Radiation: Cu Ka. Structure: a GGA-PBE-relaxed structure.

Structure:
```
data_SiO2
_symmetry_space_group_name_H-M 'P 1'
_symmetry_Int_Tables_number 1
_cell_length_a 12.9817
_cell_length_b 12.9817
_cell_length_c 4.9798
_cell_angle_alpha 97.40
_cell_angle_beta 97.40
_cell_angle_gamma 119.53
loop_
_symmetry_equiv_pos_as_xyz
'x,y,z'
loop_
_atom_site_label
_atom_site_type_symbol
_atom_site_fract_x
_atom_site_fract_y
_atom_site_fract_z
Si1 Si 0.0067 0.1393 0.3097
Si2 Si 0.0169 0.3747 0.2559
Si3 Si 0.1318 0.6353 0.2963
Si4 Si 0.1393 0.0067 0.3097
Si5 Si 0.3647 0.8682 0.7037
Si6 Si 0.3747 0.0169 0.2559
Si7 Si 0.6253 0.9831 0.7441
Si8 Si 0.6353 0.1318 0.2963
Si9 Si 0.8607 0.9933 0.6903
Si10 Si 0.8682 0.3647 0.7037
Si11 Si 0.9831 0.6253 0.7441
Si12 Si 0.9933 0.8607 0.6903
O1 O 0.0227 0.6127 0.4522
O2 O 0.0594 0.9406 0.0000
O3 O 0.0635 0.2797 0.2812
O4 O 0.0961 0.9039 0.5000
O5 O 0.0989 0.6709 0.0053
O6 O 0.1141 0.1141 0.4322
O7 O 0.1293 0.5064 0.2343
O8 O 0.2610 0.7390 0.5000
O9 O 0.2797 0.0635 0.2812
O10 O 0.3291 0.9011 0.9947
O11 O 0.3873 0.9773 0.5478
O12 O 0.4936 0.8707 0.7657
O13 O 0.5064 0.1293 0.2343
O14 O 0.6127 0.0227 0.4522
O15 O 0.6709 0.0989 0.0053
O16 O 0.7203 0.9365 0.7188
O17 O 0.7390 0.2610 0.5000
O18 O 0.8707 0.4936 0.7657
O19 O 0.8859 0.8859 0.5678
O20 O 0.9011 0.3291 0.9947
O21 O 0.9039 0.0961 0.5000
O22 O 0.9365 0.7203 0.7188
O23 O 0.9406 0.0594 0.0000
O24 O 0.9773 0.3873 0.5478
```

Principal peaks in the range 2θ = 15–90°, sorted by position:
two_theta, d (Å), intensity
16.10, 5.506, 77
18.41, 4.819, 53
21.61, 4.113, 100
21.73, 4.089, 73
27.19, 3.280, 37
27.72, 3.218, 46


[4]
This entry pairs a crystal structure of PrAlPd with its computed X-ray powder pattern. Radiation: Cu Ka. Structure: a GGA-PBE-relaxed structure.

Structure:
```
data_PrAlPd
_symmetry_space_group_name_H-M 'P 1'
_symmetry_Int_Tables_number 1
_cell_length_a 7.2874
_cell_length_b 7.2874
_cell_length_c 4.2484
_cell_angle_alpha 90.00
_cell_angle_beta 90.00
_cell_angle_gamma 120.00
loop_
_symmetry_equiv_pos_as_xyz
'x,y,z'
loop_
_atom_site_label
_atom_site_type_symbol
_atom_site_fract_x
_atom_site_fract_y
_atom_site_fract_z
Pr1 Pr 0.0000 0.5793 0.0000
Pr2 Pr 0.4207 0.4207 0.0000
Pr3 Pr 0.5793 0.0000 0.0000
Al1 Al 0.0000 0.2280 0.5000
Al2 Al 0.2280 0.0000 0.5000
Al3 Al 0.7720 0.7720 0.5000
Pd1 Pd 0.0000 0.0000 0.0000
Pd2 Pd 0.3333 0.6667 0.5000
Pd3 Pd 0.6667 0.3333 0.5000
```

Principal peaks in the range 2θ = 15–90°, sorted by position:
two_theta, d (Å), intensity
24.43, 3.644, 28
28.28, 3.156, 23
32.37, 2.766, 70
35.44, 2.533, 100
42.56, 2.124, 24
56.89, 1.618, 22


[5]
This entry pairs a crystal structure of Cs2YCuF6 with its computed X-ray powder pattern. Radiation: Cu Ka. Structure: a GGA-PBE-relaxed structure.

Structure:
```
data_Cs2YCuF6
_symmetry_space_group_name_H-M 'P 1'
_symmetry_Int_Tables_number 1
_cell_length_a 6.4385
_cell_length_b 6.4385
_cell_length_c 6.4385
_cell_angle_alpha 60.00
_cell_angle_beta 60.00
_cell_angle_gamma 60.00
loop_
_symmetry_equiv_pos_as_xyz
'x,y,z'
loop_
_atom_site_label
_atom_site_type_symbol
_atom_site_fract_x
_atom_site_fract_y
_atom_site_fract_z
Cs1 Cs 0.2500 0.2500 0.2500
Cs2 Cs 0.7500 0.7500 0.7500
Y1 Y 0.0000 0.0000 0.0000
Cu1 Cu 0.5000 0.5000 0.5000
F1 F 0.2420 0.2420 0.7580
F2 F 0.2420 0.7580 0.2420
F3 F 0.2420 0.7580 0.7580
F4 F 0.7580 0.2420 0.2420
F5 F 0.7580 0.2420 0.7580
F6 F 0.7580 0.7580 0.2420
```

Principal peaks in the range 2θ = 15–90°, sorted by position:
two_theta, d (Å), intensity
27.71, 3.219, 100
39.59, 2.276, 38
49.01, 1.859, 41
57.23, 1.610, 24
64.75, 1.440, 18
78.63, 1.217, 21


[6]
This entry pairs a crystal structure of LaYCo8B2 with its computed X-ray powder pattern. Radiation: Cu Ka. Structure: a GGA-PBE-relaxed structure.

Structure:
```
data_LaYCo8B2
_symmetry_space_group_name_H-M 'P 1'
_symmetry_Int_Tables_number 1
_cell_length_a 5.0432
_cell_length_b 5.0432
_cell_length_c 6.8637
_cell_angle_alpha 90.00
_cell_angle_beta 90.00
_cell_angle_gamma 120.00
loop_
_symmetry_equiv_pos_as_xyz
'x,y,z'
loop_
_atom_site_label
_atom_site_type_symbol
_atom_site_fract_x
_atom_site_fract_y
_atom_site_fract_z
La1 La 0.0000 0.0000 0.0000
Y1 Y 0.0000 0.0000 0.5000
Co1 Co 0.0000 0.5000 0.2909
Co2 Co 0.0000 0.5000 0.7091
Co3 Co 0.3333 0.6667 0.0000
Co4 Co 0.5000 0.0000 0.2909
Co5 Co 0.5000 0.0000 0.7091
Co6 Co 0.5000 0.5000 0.2909
Co7 Co 0.5000 0.5000 0.7091
Co8 Co 0.6667 0.3333 0.0000
B1 B 0.3333 0.6667 0.5000
B2 B 0.6667 0.3333 0.5000
```

Principal peaks in the range 2θ = 15–90°, sorted by position:
two_theta, d (Å), intensity
33.20, 2.698, 73
35.60, 2.522, 25
38.02, 2.367, 25
41.34, 2.184, 78
44.59, 2.032, 100
70.23, 1.340, 26


[7]
This entry pairs a crystal structure of CeGa3Ag with its computed X-ray powder pattern. Radiation: Cu Ka. Structure: a GGA-PBE-relaxed structure.

Structure:
```
data_CeGa3Ag
_symmetry_space_group_name_H-M 'P 1'
_symmetry_Int_Tables_number 1
_cell_length_a 4.3458
_cell_length_b 4.3458
_cell_length_c 10.8246
_cell_angle_alpha 90.00
_cell_angle_beta 90.00
_cell_angle_gamma 90.00
loop_
_symmetry_equiv_pos_as_xyz
'x,y,z'
loop_
_atom_site_label
_atom_site_type_symbol
_atom_site_fract_x
_atom_site_fract_y
_atom_site_fract_z
Ce1 Ce 0.0000 0.0000 0.0000
Ce2 Ce 0.5000 0.5000 0.5000
Ga1 Ga 0.0000 0.0000 0.3867
Ga2 Ga 0.0000 0.0000 0.6133
Ga3 Ga 0.0000 0.5000 0.2500
Ga4 Ga 0.5000 0.0000 0.7500
Ga5 Ga 0.5000 0.5000 0.1133
Ga6 Ga 0.5000 0.5000 0.8867
Ag1 Ag 0.0000 0.5000 0.7500
Ag2 Ag 0.5000 0.0000 0.2500
```

Principal peaks in the range 2θ = 15–90°, sorted by position:
two_theta, d (Å), intensity
32.25, 2.776, 45
33.54, 2.672, 100
41.56, 2.173, 51
46.89, 1.938, 25
53.56, 1.711, 21
70.73, 1.332, 22